This entry pairs a crystal structure of Li2Pu2I2Br5 with its simulated X-ray diffraction stick pattern. Radiation: copper Kα. Structure: a crystal structure in Alexandria, relaxed with GGA-PBE.
Lines closer than 0.1° are merged.

Most intense lines, 2θ = 10–90°, by angle:
two_theta, I (rel.)
14.3, 33
15.4, 100
21.3, 29
28.9, 32
30.3, 69
34.2, 30
36.1, 30
42.3, 46

Structure:
Cell lengths 13.0517, 13.0517, 13.0517 Å; angles 153.88, 153.88, 37.28 degrees
Element x y z (fractional)
Li (0.1534, 0.1534, 0.0000)
Li (0.8466, 0.8466, 0.0000)
Pu (0.3828, 0.3828, 0.0000)
Pu (0.6172, 0.6172, 0.0000)
I (0.2606, 0.2606, 0.0000)
I (0.7394, 0.7394, 0.0000)
Br (0.1180, 0.6180, 0.5000)
Br (0.3820, 0.8820, 0.5000)
Br (0.5000, 0.5000, 0.0000)
Br (0.6180, 0.1180, 0.5000)
Br (0.8820, 0.3820, 0.5000)